# SmWF6
Theoretical PXRD pattern, Cu Kα. Input: a crystal structure in Alexandria, relaxed with PBE+U.

Structure:
```
SmWF6
1.0
6.0121 0.0000 0.0000
3.0034 5.2094 0.0000
3.0054 1.7369 5.1164
Sm W F
1 1 6
direct
0.0000 0.0000 0.0000
0.5000 0.5000 0.5000
0.2013 0.3143 0.7425
0.2608 0.7966 0.2555
0.3124 0.7433 0.7408
0.6876 0.2567 0.2592
0.7392 0.2034 0.7445
0.7987 0.6857 0.2575
```

Most intense lines, 10° ≤ 2θ ≤ 80°, in order of rising 2θ:
2θ (°)	d_spacing	intensity
20.61	4.309	100
28.90	3.089	28
29.71	3.007	24
36.44	2.466	9
41.93	2.155	21
46.61	1.948	24
47.70	1.907	21
52.23	1.751	12
59.88	1.545	7
65.79	1.420	9